1.
The following is a theoretical PXRD pattern of Nb2In2Br7. It was derived from the PBE geometry in Alexandria, using Cu Ka.

Cell and atoms:
```
data_Nb2In2Br7
_chemical_formula_sum 'Nb8 In8 Br28'
_symmetry_space_group_name_H-M 'C 1 2/c 1'
_symmetry_Int_Tables_number 15
_cell_length_a 11.0235
_cell_length_b 10.6592
_cell_length_c 16.2803
_cell_angle_alpha 90.00
_cell_angle_beta 105.25
_cell_angle_gamma 90.00
loop_
_symmetry_equiv_pos_as_xyz
'x,y,z'
'-x,-y,-z'
'-x,y,-z+1/2'
'x,-y,z+1/2'
'x+1/2,y+1/2,z'
'-x+1/2,-y+1/2,-z'
'-x+1/2,y+1/2,-z+1/2'
'x+1/2,-y+1/2,z+1/2'
loop_
_atom_site_label
_atom_site_fract_x
_atom_site_fract_y
_atom_site_fract_z
_atom_site_occupancy
Nb1 0.0930 0.1544 0.4936 1
In1 0.2053 0.4578 0.2102 1
Br1 0.0000 0.4119 0.7500 1
Br2 0.0014 0.0349 0.8913 1
Br3 0.0725 0.3251 0.0399 1
Br4 0.2257 0.2377 0.3856 1
```

Peak list (10 most intense, 5 to 70 degrees two-theta, sorted by position)
2θ (°)  I (rel.)  (hkl)
12.1  423  1 1 -1
17.5  585  2 0 -2
17.8  1000  1 1 2
20.1  895  0 2 2
23.3  711  2 2 -1
27.5  374  1 1 4
29.7  752  2 2 -4
30.4  369  3 1 -4
31.8  508  2 2 3
39.7  563  2 4 -3

2.
The following is a theoretical PXRD pattern of BaTi2Au. It was derived from the PBE geometry in Alexandria, using Cu Ka.

Cell and atoms:
```
data_BaTi2Au
_chemical_formula_sum 'Ba4 Ti8 Au4'
_symmetry_space_group_name_H-M 'F m -3 m'
_symmetry_Int_Tables_number 225
_symmetry_space_group_name_Hall '-F 4 2 3'
_cell_length_a 6.9151
_cell_length_b 6.9151
_cell_length_c 6.9151
_cell_angle_alpha 90.00
_cell_angle_beta 90.00
_cell_angle_gamma 90.00
loop_
_atom_site_label
_atom_site_fract_x
_atom_site_fract_y
_atom_site_fract_z
_atom_site_occupancy
Ba1 0.0000 0.0000 0.0000 1
Ti1 0.2500 0.2500 0.2500 1
Au1 0.0000 0.0000 0.5000 1
```

Peak list (9 most intense, 5 to 70 degrees two-theta, sorted by position)
2θ (°)  I (rel.)  (hkl)
22.3  54  1 1 1
25.8  374  2 0 0
36.8  1000  2 2 0
43.4  33  3 1 1
45.4  116  2 2 2
53.0  172  4 0 0
58.1  14  3 3 1
59.8  160  4 2 0
66.2  348  4 2 2